# 1
Starting from a DFT-relaxed cell (GGA-PBE, the Materials Project), the XRD peak list of NaC3O3 was calculated for λ = 1.5418 Å (Cu Kα).
Neutral-atom scattering factors, no anomalous dispersion.

Largest 6 diffraction maxima, by angle, 10° ≤ 2θ ≤ 90°:
two_theta	d/Å	intensity	h k l
26.01	3.426	100.0	1 -2 0
30.36	2.944	45.4	2 -2 0
39.26	2.295	25.1	2 1 0
39.98	2.255	47.4	1 -3 0
40.31	2.237	38.4	-1 1 3
43.74	2.070	26.9	1 1 2

a b c (Å): 7.124 7.124 8.284
angles (deg): 105.82 105.82 111.48
Fractional positions:
Na  0.000  0.000  0.000
Na  0.050  0.963  0.503
Na  0.297  0.701  0.007
Na  0.754  0.260  0.513
C  0.203  0.395  0.403
C  0.289  0.508  0.615
C  0.294  0.508  0.300
C  0.435  0.162  0.905
C  0.498  0.712  0.708
C  0.502  0.730  0.407
C  0.547  0.239  0.101
C  0.555  0.262  0.805
C  0.624  0.816  0.613
C  0.759  0.456  0.210
C  0.773  0.460  0.903
C  0.846  0.573  0.104
O  0.014  0.760  0.185
O  0.027  0.196  0.315
O  0.175  0.417  0.689
O  0.212  0.413  0.123
O  0.248  0.997  0.826
O  0.459  0.172  0.632
O  0.472  0.130  0.190
O  0.577  0.824  0.323
O  0.588  0.798  0.890
O  0.809  0.970  0.686
O  0.838  0.538  0.381
O  0.872  0.545  0.821

# 2
Starting from a DFT-relaxed cell (GGA-PBE, the Materials Project), the XRD peak list of Te2MoW3S6 was calculated for λ = 1.5418 Å (Cu Kα).
Neutral-atom scattering factors, no anomalous dispersion.

Largest 6 diffraction maxima, by angle, 10° ≤ 2θ ≤ 90°:
two_theta	d/Å	intensity	h k l
11.88	7.447	100.0	0 0 5
14.27	6.206	17.0	0 0 6
31.65	2.827	45.4	1 0 0
37.18	2.418	71.0	1 0 8
45.03	2.013	33.8	0 1 13
56.31	1.634	22.2	1 1 0

a b c (Å): 3.268 3.268 37.237
angles (deg): 90.00 90.00 120.00
Fractional positions:
Te  0.000  0.000  0.000
Te  0.000  0.000  0.104
Mo  0.333  0.667  0.052
W  0.000  0.000  0.240
W  0.000  0.000  0.864
W  0.333  0.667  0.427
S  0.000  0.000  0.386
S  0.000  0.000  0.469
S  0.333  0.667  0.198
S  0.333  0.667  0.281
S  0.333  0.667  0.822
S  0.333  0.667  0.905